(1)
Computed powder diffractogram
Compound: ThScTaC3
Radiation: copper Kα
Structure: a cell relaxed with PBE

Structure:
Cell: 5.800 3.538 8.700 Å, 90.00 102.14 90.00°
Sites, in units of the cell vectors:
1 Th 0.148 0.250 0.200
2 Th 0.852 0.750 0.800
3 Sc 0.267 0.750 0.547
4 Sc 0.733 0.250 0.453
5 Ta 0.367 0.250 0.860
6 Ta 0.633 0.750 0.140
7 C 0.064 0.250 0.669
8 C 0.274 0.750 0.977
9 C 0.462 0.750 0.336
10 C 0.538 0.250 0.664
11 C 0.726 0.250 0.023
12 C 0.936 0.750 0.331

Largest 10 diffraction maxima, low angle first, 5° ≤ 2θ ≤ 70°:
2θ/deg  intensity
10.40  85.0
20.89  30.9
29.76  55.8
31.08  39.4
31.56  45.9
32.72  100.0
34.12  28.1
34.61  98.7
35.41  31.3
64.26  31.1

(2)
Computed powder diffractogram
Compound: LaNd3Th4Se8
Radiation: copper Kα
Structure: a cell relaxed with PBE

Structure:
Cell: 8.524 8.524 8.524 Å, 58.85 58.85 58.85°
Sites, in units of the cell vectors:
1 La 0.000 0.000 0.000
2 Nd 0.000 0.500 0.500
3 Nd 0.500 0.000 0.500
4 Nd 0.500 0.500 0.000
5 Th 0.000 0.000 0.500
6 Th 0.000 0.500 0.000
7 Th 0.500 0.000 0.000
8 Th 0.500 0.500 0.500
9 Se 0.250 0.250 0.250
10 Se 0.251 0.251 0.748
11 Se 0.251 0.748 0.251
12 Se 0.252 0.749 0.749
13 Se 0.748 0.251 0.251
14 Se 0.749 0.252 0.749
15 Se 0.749 0.749 0.252
16 Se 0.750 0.750 0.750

Largest 10 diffraction maxima, low angle first, 5° ≤ 2θ ≤ 70°:
2θ/deg  intensity
25.37  7.6
25.99  21.4
29.92  100.0
42.43  38.8
43.21  36.8
50.77  7.4
52.11  7.1
53.44  19.8
62.16  12.6
69.94  17.8

(3)
Computed powder diffractogram
Compound: DyTmIr
Radiation: copper Kα
Structure: a cell relaxed with PBE

Structure:
Cell: 6.750 6.748 6.741 Å, 90.00 90.10 90.00°
Sites, in units of the cell vectors:
1 Dy 0.000 0.001 0.250
2 Dy 0.000 0.999 0.750
3 Dy 0.500 0.499 0.750
4 Dy 0.500 0.501 0.250
5 Tm 0.000 0.500 0.250
6 Tm 0.000 0.500 0.750
7 Tm 0.500 0.000 0.250
8 Tm 0.500 0.000 0.750
9 Ir 0.250 0.250 0.000
10 Ir 0.250 0.750 0.500
11 Ir 0.750 0.250 0.500
12 Ir 0.750 0.750 0.000

Largest 10 diffraction maxima, low angle first, 5° ≤ 2θ ≤ 70°:
2θ/deg  intensity
22.83  32.1
26.42  9.3
37.71  100.0
44.54  16.9
46.64  2.6
54.40  17.5
59.74  5.9
61.46  3.2
68.07  29.9
68.16  6.0

(4)
Computed powder diffractogram
Compound: Tl6Pd5
Radiation: copper Kα
Structure: a cell relaxed with PBE

Structure:
Cell: 6.775 6.775 5.605 Å, 99.56 99.56 105.74°
Sites, in units of the cell vectors:
1 Tl 0.056 0.367 0.709
2 Tl 0.202 0.202 0.209
3 Tl 0.367 0.056 0.709
4 Tl 0.633 0.944 0.291
5 Tl 0.798 0.798 0.791
6 Tl 0.944 0.633 0.291
7 Pd 0.225 0.775 0.000
8 Pd 0.365 0.635 0.500
9 Pd 0.500 0.500 0.000
10 Pd 0.635 0.365 0.500
11 Pd 0.775 0.225 0.000

Largest 10 diffraction maxima, low angle first, 5° ≤ 2θ ≤ 70°:
2θ/deg  intensity
30.28  41.2
33.62  100.0
34.80  69.3
35.23  30.6
37.25  22.7
39.10  22.3
41.40  16.4
42.21  53.0
55.46  24.5
64.73  16.6

(5)
Computed powder diffractogram
Compound: Na2NpHO6
Radiation: copper Kα
Structure: a cell relaxed with PBE

Structure:
Cell: 5.706 5.714 6.053 Å, 109.04 113.48 103.23°
Sites, in units of the cell vectors:
1 Na 0.234 0.079 0.317
2 Na 0.766 0.921 0.683
3 Np 0.500 0.500 0.000
4 H 0.000 0.500 0.500
5 O 0.174 0.431 0.610
6 O 0.237 0.228 0.000
7 O 0.430 0.770 0.211
8 O 0.570 0.230 0.789
9 O 0.763 0.772 0.000
10 O 0.826 0.569 0.390

Largest 10 diffraction maxima, low angle first, 5° ≤ 2θ ≤ 70°:
2θ/deg  intensity
18.07  100.0
18.63  74.7
19.87  42.5
25.11  33.5
26.19  24.0
31.23  14.8
32.24  43.7
34.37  13.0
40.38  13.5
50.49  12.6

(6)
Computed powder diffractogram
Compound: Mg2TaNbN4
Radiation: copper Kα
Structure: a cell relaxed with PBE

Structure:
Cell: 5.314 3.069 5.509 Å, 90.00 108.80 90.00°
Sites, in units of the cell vectors:
1 Mg 0.000 0.000 0.000
2 Mg 0.500 0.500 0.000
3 Ta 0.000 0.500 0.500
4 Nb 0.500 0.000 0.500
5 N 0.243 0.000 0.743
6 N 0.246 0.500 0.254
7 N 0.754 0.500 0.746
8 N 0.757 0.000 0.257

Largest 10 diffraction maxima, low angle first, 5° ≤ 2θ ≤ 70°:
2θ/deg  intensity
17.00  100.0
34.22  53.0
34.39  26.1
35.68  71.1
41.06  92.2
44.74  24.8
53.58  15.5
58.61  30.6
60.32  28.0
63.17  18.6

(7)
Computed powder diffractogram
Compound: BaMg11Hg
Radiation: copper Kα
Structure: a cell relaxed with PBE

Structure:
Cell: 7.999 7.999 7.927 Å, 97.55 97.55 136.36°
Sites, in units of the cell vectors:
1 Ba 0.000 0.000 0.000
2 Mg 0.000 0.000 0.500
3 Mg 0.000 0.500 0.000
4 Mg 0.007 0.651 0.642
5 Mg 0.285 0.505 0.774
6 Mg 0.349 0.993 0.358
7 Mg 0.495 0.715 0.226
8 Mg 0.500 0.000 0.000
9 Mg 0.505 0.285 0.774
10 Mg 0.651 0.007 0.642
11 Mg 0.715 0.495 0.226
12 Mg 0.993 0.349 0.358
13 Hg 0.500 0.500 0.500

Largest 10 diffraction maxima, low angle first, 5° ≤ 2θ ≤ 70°:
2θ/deg  intensity
11.92  100.0
17.26  83.2
23.95  97.8
24.24  50.5
26.88  39.3
29.42  49.7
34.18  60.4
34.40  83.5
34.64  38.3
34.93  45.1

(8)
Computed powder diffractogram
Compound: Tm6Tl5Bi
Radiation: copper Kα
Structure: a cell relaxed with PBE

Structure:
Cell: 5.015 7.949 8.509 Å, 90.07 90.03 108.24°
Sites, in units of the cell vectors:
1 Tm 0.001 0.000 0.247
2 Tm 0.333 0.666 0.246
3 Tm 0.333 0.666 0.754
4 Tm 0.667 0.334 0.246
5 Tm 0.667 0.334 0.754
6 Tm 0.999 0.000 0.753
7 Tl 0.167 0.334 0.000
8 Tl 0.172 0.343 0.500
9 Tl 0.500 0.000 0.000
10 Tl 0.828 0.657 0.500
11 Tl 0.833 0.666 0.000
12 Bi 0.500 0.000 0.500

Largest 10 diffraction maxima, low angle first, 5° ≤ 2θ ≤ 70°:
2θ/deg  intensity
32.84  100.0
35.68  20.0
35.81  19.9
42.50  12.4
51.37  7.2
56.73  16.1
62.25  8.1
62.37  12.1
62.50  12.1
68.90  9.0